This entry pairs a crystal structure of LiMnPCO7 with its simulated X-ray diffraction stick pattern. Radiation: copper Kα. Structure: DFT lattice parameters and positions (PBE+U).
Intensities are scaled so that the largest is 100.

Peak list (10 most intense, 15 to 90 degrees two-theta, low angle first)
2theta  Rel. int.  hkl
17.45  38.6  0 1 -1
17.73  59.0  0 1 1
19.45  72.3  1 0 -1
20.61  72.1  1 0 1
25.40  25.7  1 1 1
26.09  63.0  1 0 -2
27.86  19.5  1 0 2
28.67  100.0  0 2 0
34.70  35.2  2 0 0
46.87  16.8  1 0 4

Structure:
Lattice parameters (Å, degrees): 5.185 6.230 8.606 90.88 93.72 90.93
Fractional coordinates of all 22 atoms:
Li 0.227 0.042 0.289
Li 0.773 0.958 0.711
Mn 0.209 0.745 0.838
Mn 0.791 0.255 0.162
P 0.277 0.245 0.931
P 0.723 0.755 0.069
C 0.264 0.771 0.562
C 0.736 0.229 0.438
O 0.039 0.748 0.625
O 0.139 0.234 0.086
O 0.193 0.055 0.819
O 0.203 0.441 0.834
O 0.294 0.804 0.425
O 0.427 0.765 0.028
O 0.455 0.756 0.672
O 0.545 0.244 0.328
O 0.573 0.235 0.972
O 0.706 0.196 0.575
O 0.797 0.559 0.166
O 0.807 0.945 0.181
O 0.861 0.766 0.914
O 0.961 0.252 0.375